Record 1
Simulated powder X-ray diffraction pattern of SrTeH2O4 for Cu Ka, from a GGA-PBE-relaxed structure.
Peak positions follow from Bragg's law for the DFT cell and can differ from measured ones.

Structural model:
```
data_SrTeH2O4
_cell_length_a 7.979
_cell_length_b 7.257
_cell_length_c 8.404
_cell_angle_alpha 90.00
_cell_angle_beta 107.27
_cell_angle_gamma 90.00
_space_group_name_H-M_alt 'P 1 21/c 1'
_space_group_IT_number 14
_space_group_name_Hall '-P 2ybc'
loop_
_atom_site_label
_atom_site_type_symbol
_atom_site_fract_x
_atom_site_fract_y
_atom_site_fract_z
Sr1 Sr 0.101 0.139 0.337
Te1 Te 0.281 0.672 0.506
H1 H 0.306 0.057 0.705
H2 H 0.486 0.086 0.661
O1 O 0.065 0.697 0.950
O2 O 0.194 0.023 0.852
O3 O 0.279 0.572 0.713
O4 O 0.356 0.087 0.612
```

Most intense lines, 15° ≤ 2θ ≤ 90°, low angle first:
2θ (°)	d/Å	intensity
16.87	5.255	44
23.35	3.810	24
26.42	3.373	23
27.07	3.294	64
28.08	3.178	100
30.69	2.913	65
31.35	2.853	26
37.52	2.397	26
44.94	2.017	31
47.68	1.907	31

Record 2
Simulated powder X-ray diffraction pattern of Sr2ZnH6O6 for Cu Ka, from a GGA-PBE-relaxed structure.
Peak positions follow from Bragg's law for the DFT cell and can differ from measured ones.

Structural model:
```
data_Sr2ZnH6O6
_cell_length_a 6.342
_cell_length_b 6.823
_cell_length_c 11.176
_cell_angle_alpha 90.00
_cell_angle_beta 120.45
_cell_angle_gamma 90.00
_space_group_name_H-M_alt 'P 1 21/c 1'
_space_group_IT_number 14
_space_group_name_Hall '-P 2ybc'
loop_
_atom_site_label
_atom_site_type_symbol
_atom_site_fract_x
_atom_site_fract_y
_atom_site_fract_z
Sr1 Sr 0.172 0.075 0.349
Zn1 Zn 0.500 0.000 0.000
H1 H 0.087 0.739 0.021
H2 H 0.179 0.677 0.081
H3 H 0.481 0.222 0.654
O1 O 0.159 0.064 0.864
O2 O 0.217 0.114 0.749
O3 O 0.471 0.702 0.916
```

Most intense lines, 15° ≤ 2θ ≤ 90°, low angle first:
2θ (°)	d/Å	intensity
17.30	5.126	100
20.82	4.266	13
25.97	3.431	22
26.12	3.411	11
30.77	2.906	21
31.50	2.840	17
31.97	2.799	16
35.01	2.563	10
43.08	2.100	9
43.20	2.094	11

Record 3
Simulated powder X-ray diffraction pattern of SrZnH6O5 for Cu Ka, from a GGA-PBE-relaxed structure.
Peak positions follow from Bragg's law for the DFT cell and can differ from measured ones.

Structural model:
```
data_SrZnH6O5
_cell_length_a 6.254
_cell_length_b 6.362
_cell_length_c 7.827
_cell_angle_alpha 74.55
_cell_angle_beta 66.58
_cell_angle_gamma 72.30
_space_group_name_H-M_alt 'P -1'
_space_group_IT_number 2
_space_group_name_Hall '-P 1'
loop_
_atom_site_label
_atom_site_type_symbol
_atom_site_fract_x
_atom_site_fract_y
_atom_site_fract_z
Sr1 Sr 0.055 0.402 0.253
Zn1 Zn 0.403 0.753 0.230
H1 H 0.065 0.022 0.774
H2 H 0.195 0.193 0.923
H3 H 0.224 0.812 0.972
H4 H 0.246 0.952 0.567
H5 H 0.405 0.388 0.454
H6 H 0.491 0.054 0.320
O1 O 0.165 0.789 0.110
O2 O 0.192 0.897 0.711
O3 O 0.253 0.325 0.910
O4 O 0.273 0.506 0.432
O5 O 0.336 0.024 0.344
```

Most intense lines, 15° ≤ 2θ ≤ 90°, low angle first:
2θ (°)	d/Å	intensity
16.47	5.383	47
18.01	4.925	43
24.11	3.692	44
25.15	3.541	100
25.79	3.455	67
27.03	3.298	56
28.63	3.118	48
28.78	3.102	42
30.60	2.922	44
31.44	2.846	44

Record 4
Simulated powder X-ray diffraction pattern of Ta2H4O7 for Cu Ka, from a GGA-PBE-relaxed structure.
Peak positions follow from Bragg's law for the DFT cell and can differ from measured ones.

Structural model:
```
data_Ta2H4O7
_cell_length_a 10.214
_cell_length_b 10.882
_cell_length_c 10.980
_cell_angle_alpha 90.00
_cell_angle_beta 90.00
_cell_angle_gamma 90.00
_space_group_name_H-M_alt 'F d d d'
_space_group_IT_number 70
loop_
_space_group_symop_operation_xyz
'x,y,z'
'-x,-y,-z'
'-x+1/4,-y+1/4,z'
'x+1/4,y+1/4,-z'
'x,-y+1/4,-z+1/4'
'-x,y+1/4,z+1/4'
'-x+1/4,y,-z+1/4'
'x+1/4,-y,z+1/4'
'x,y+1/2,z+1/2'
'-x,-y+1/2,-z+1/2'
'-x+1/4,-y+3/4,z+1/2'
'x+1/4,y+3/4,-z+1/2'
'x,-y+3/4,-z+3/4'
'-x,y+3/4,z+3/4'
'-x+1/4,y+1/2,-z+3/4'
'x+1/4,-y+1/2,z+3/4'
'x+1/2,y,z+1/2'
'-x+1/2,-y,-z+1/2'
'-x+3/4,-y+1/4,z+1/2'
'x+3/4,y+1/4,-z+1/2'
'x+1/2,-y+1/4,-z+3/4'
'-x+1/2,y+1/4,z+3/4'
'-x+3/4,y,-z+3/4'
'x+3/4,-y,z+3/4'
'x+1/2,y+1/2,z'
'-x+1/2,-y+1/2,-z'
'-x+3/4,-y+3/4,z'
'x+3/4,y+3/4,-z'
'x+1/2,-y+3/4,-z+1/4'
'-x+1/2,y+3/4,z+1/4'
'-x+3/4,y+1/2,-z+1/4'
'x+3/4,-y+1/2,z+1/4'
loop_
_atom_site_label
_atom_site_type_symbol
_atom_site_fract_x
_atom_site_fract_y
_atom_site_fract_z
Ta1 Ta 0.000 0.000 0.000
H1 H 0.071 0.375 0.875
H2 H 0.125 0.037 0.625
O1 O 0.082 0.375 0.375
O2 O 0.125 0.125 0.298
O3 O 0.125 0.125 0.625
O4 O 0.125 0.304 0.125
```

Most intense lines, 15° ≤ 2θ ≤ 90°, low angle first:
2θ (°)	d/Å	intensity
27.15	3.285	38
27.33	3.264	36
28.65	3.116	28
28.97	3.082	100
44.08	2.054	15
47.03	1.932	16
48.70	1.870	16
48.92	1.862	16
55.97	1.643	22
56.38	1.632	16

Record 5
Simulated powder X-ray diffraction pattern of Ta2H4O7 for Cu Ka, from a GGA-PBE-relaxed structure.
Peak positions follow from Bragg's law for the DFT cell and can differ from measured ones.

Structural model:
Cell: 10.398 10.398 10.398 Å, 90.00 90.00 90.00°
Space group Fd-3m (No. 227, origin choice 2)
Unique sites:
Ta1 0.000 0.000 0.000 (multiplicity 16)
H1 0.067 0.067 0.567 (multiplicity 32)
O1 0.072 0.375 0.375 (multiplicity 48)
O2 0.125 0.125 0.625 (multiplicity 8)

Most intense lines, 15° ≤ 2θ ≤ 90°, low angle first:
2θ (°)	d/Å	intensity
28.47	3.135	100
29.77	3.002	99
34.50	2.599	27
37.71	2.385	22
45.32	2.001	32
49.60	1.838	49
52.03	1.758	32
58.92	1.568	43
63.94	1.456	19
69.43	1.354	24

Record 6
Simulated powder X-ray diffraction pattern of Ta2H4O7 for Cu Ka, from a GGA-PBE-relaxed structure.
Peak positions follow from Bragg's law for the DFT cell and can differ from measured ones.

Structural model:
```
data_Ta2H4O7
_cell_length_a 9.501
_cell_length_b 11.443
_cell_length_c 11.149
_cell_angle_alpha 90.00
_cell_angle_beta 90.00
_cell_angle_gamma 90.00
_space_group_name_H-M_alt 'F d d 2'
_space_group_IT_number 43
_space_group_name_Hall 'F 2 -2d'
loop_
_atom_site_label
_atom_site_type_symbol
_atom_site_fract_x
_atom_site_fract_y
_atom_site_fract_z
Ta1 Ta 0.100 0.141 0.000
H1 H 0.000 0.000 0.282
H2 H 0.000 0.000 0.577
H3 H 0.121 0.254 0.627
O1 O 0.000 0.000 0.035
O2 O 0.000 0.000 0.370
O3 O 0.000 0.000 0.664
O4 O 0.005 0.241 0.103
O5 O 0.009 0.154 0.846
```

Most intense lines, 15° ≤ 2θ ≤ 90°, low angle first:
2θ (°)	d/Å	intensity
26.42	3.374	57
26.91	3.313	42
29.22	3.057	100
30.36	2.944	28
31.27	2.861	13
32.11	2.787	15
38.15	2.359	14
45.43	1.996	17
49.87	1.829	22
55.47	1.656	17

Record 7
Simulated powder X-ray diffraction pattern of Ta2H4O7 for Cu Ka, from a GGA-PBE-relaxed structure.
Peak positions follow from Bragg's law for the DFT cell and can differ from measured ones.

Structural model:
```
data_Ta2H4O7
_cell_length_a 9.400
_cell_length_b 11.861
_cell_length_c 11.353
_cell_angle_alpha 90.00
_cell_angle_beta 90.00
_cell_angle_gamma 90.00
_space_group_name_H-M_alt 'F d d 2'
_space_group_IT_number 43
_space_group_name_Hall 'F 2 -2d'
loop_
_atom_site_label
_atom_site_type_symbol
_atom_site_fract_x
_atom_site_fract_y
_atom_site_fract_z
Ta1 Ta 0.103 0.138 0.000
H1 H 0.000 0.000 0.195
H2 H 0.000 0.000 0.585
H3 H 0.105 0.004 0.320
O1 O 0.000 0.000 0.039
O2 O 0.000 0.000 0.283
O3 O 0.000 0.000 0.671
O4 O 0.004 0.236 0.093
O5 O 0.013 0.151 0.847
```

Most intense lines, 15° ≤ 2θ ≤ 90°, low angle first:
2θ (°)	d/Å	intensity
25.67	3.470	55
26.48	3.366	37
28.90	3.090	100
30.14	2.965	15
30.54	2.927	26
31.52	2.838	19
38.05	2.365	14
44.17	2.050	15
52.76	1.735	15
54.52	1.683	18

Record 8
Simulated powder X-ray diffraction pattern of Ta2H4O7 for Cu Ka, from a GGA-PBE-relaxed structure.
Peak positions follow from Bragg's law for the DFT cell and can differ from measured ones.

Structural model:
```
data_Ta2H4O7
_cell_length_a 10.611
_cell_length_b 10.549
_cell_length_c 7.461
_cell_angle_alpha 90.00
_cell_angle_beta 132.99
_cell_angle_gamma 90.00
_space_group_name_H-M_alt 'C 1 c 1'
_space_group_IT_number 9
_space_group_name_Hall 'C -2yc'
loop_
_atom_site_label
_atom_site_type_symbol
_atom_site_fract_x
_atom_site_fract_y
_atom_site_fract_z
Ta1 Ta 0.000 0.002 0.000
Ta2 Ta 0.252 0.242 0.494
H1 H 0.005 0.425 0.257
H2 H 0.063 0.361 0.916
H3 H 0.210 0.367 0.767
H4 H 0.414 0.144 0.132
O1 O 0.022 0.400 0.764
O2 O 0.161 0.132 0.597
O3 O 0.174 0.127 0.243
O4 O 0.293 0.372 0.748
O5 O 0.317 0.372 0.398
O6 O 0.487 0.443 0.244
O7 O 0.495 0.170 0.743
```

Most intense lines, 15° ≤ 2θ ≤ 90°, low angle first:
2θ (°)	d/Å	intensity
26.95	3.308	33
27.56	3.237	62
27.86	3.203	29
28.10	3.175	59
28.56	3.126	100
29.33	3.045	82
44.65	2.029	22
47.98	1.896	28
48.71	1.870	28
56.89	1.619	32

Record 9
Simulated powder X-ray diffraction pattern of TbHO2 for Cu Ka, from a GGA-PBE-relaxed structure.
Peak positions follow from Bragg's law for the DFT cell and can differ from measured ones.

Structural model:
```
data_TbHO2
_cell_length_a 4.366
_cell_length_b 3.694
_cell_length_c 6.052
_cell_angle_alpha 90.00
_cell_angle_beta 109.25
_cell_angle_gamma 90.00
_space_group_name_H-M_alt 'P 1 21/m 1'
_space_group_IT_number 11
_space_group_name_Hall '-P 2yb'
loop_
_atom_site_label
_atom_site_type_symbol
_atom_site_fract_x
_atom_site_fract_y
_atom_site_fract_z
Tb1 Tb 0.166 0.250 0.312
H1 H 0.477 0.750 0.083
O1 O 0.247 0.750 0.064
O2 O 0.266 0.750 0.550
```

Most intense lines, 15° ≤ 2θ ≤ 90°, low angle first:
2θ (°)	d/Å	intensity
15.51	5.714	36
21.56	4.122	29
22.04	4.033	45
28.78	3.102	100
30.64	2.918	51
31.68	2.824	32
32.55	2.751	36
32.88	2.724	53
39.89	2.260	35
50.89	1.794	30

Record 10
Simulated powder X-ray diffraction pattern of TbHO2 for Cu Ka, from a GGA-PBE-relaxed structure.
Peak positions follow from Bragg's law for the DFT cell and can differ from measured ones.

Structural model:
```
data_TbHO2
_cell_length_a 3.686
_cell_length_b 4.509
_cell_length_c 5.554
_cell_angle_alpha 90.00
_cell_angle_beta 90.00
_cell_angle_gamma 90.00
_space_group_name_H-M_alt 'P m m n'
_space_group_IT_number 59
loop_
_space_group_symop_operation_xyz
'x,y,z'
'-x,-y,-z'
'-x+1/2,-y+1/2,z'
'x+1/2,y+1/2,-z'
'x+1/2,-y,-z'
'-x+1/2,y,z'
'-x,y+1/2,-z'
'x,-y+1/2,z'
loop_
_atom_site_label
_atom_site_type_symbol
_atom_site_fract_x
_atom_site_fract_y
_atom_site_fract_z
Tb1 Tb 0.250 0.250 0.191
H1 H 0.250 0.750 0.393
O1 O 0.250 0.750 0.077
O2 O 0.250 0.750 0.571
```

Most intense lines, 15° ≤ 2θ ≤ 90°, low angle first:
2θ (°)	d/Å	intensity
15.96	5.554	22
25.44	3.501	100
29.08	3.071	75
31.35	2.854	41
39.99	2.255	26
40.68	2.218	24
45.58	1.990	36
50.20	1.817	33
56.43	1.631	23
59.52	1.553	18

Please write out number 6 again, unchanged.
Simulated powder X-ray diffraction pattern of Ta2H4O7 for Cu Ka, from a GGA-PBE-relaxed structure.
Peak positions follow from Bragg's law for the DFT cell and can differ from measured ones.

Structural model:
```
data_Ta2H4O7
_cell_length_a 9.501
_cell_length_b 11.443
_cell_length_c 11.149
_cell_angle_alpha 90.00
_cell_angle_beta 90.00
_cell_angle_gamma 90.00
_space_group_name_H-M_alt 'F d d 2'
_space_group_IT_number 43
_space_group_name_Hall 'F 2 -2d'
loop_
_atom_site_label
_atom_site_type_symbol
_atom_site_fract_x
_atom_site_fract_y
_atom_site_fract_z
Ta1 Ta 0.100 0.141 0.000
H1 H 0.000 0.000 0.282
H2 H 0.000 0.000 0.577
H3 H 0.121 0.254 0.627
O1 O 0.000 0.000 0.035
O2 O 0.000 0.000 0.370
O3 O 0.000 0.000 0.664
O4 O 0.005 0.241 0.103
O5 O 0.009 0.154 0.846
```

Most intense lines, 15° ≤ 2θ ≤ 90°, low angle first:
2θ (°)	d/Å	intensity
26.42	3.374	57
26.91	3.313	42
29.22	3.057	100
30.36	2.944	28
31.27	2.861	13
32.11	2.787	15
38.15	2.359	14
45.43	1.996	17
49.87	1.829	22
55.47	1.656	17

What did the eighth record say?
Simulated powder X-ray diffraction pattern of Ta2H4O7 for Cu Ka, from a GGA-PBE-relaxed structure.
Peak positions follow from Bragg's law for the DFT cell and can differ from measured ones.

Structural model:
```
data_Ta2H4O7
_cell_length_a 10.611
_cell_length_b 10.549
_cell_length_c 7.461
_cell_angle_alpha 90.00
_cell_angle_beta 132.99
_cell_angle_gamma 90.00
_space_group_name_H-M_alt 'C 1 c 1'
_space_group_IT_number 9
_space_group_name_Hall 'C -2yc'
loop_
_atom_site_label
_atom_site_type_symbol
_atom_site_fract_x
_atom_site_fract_y
_atom_site_fract_z
Ta1 Ta 0.000 0.002 0.000
Ta2 Ta 0.252 0.242 0.494
H1 H 0.005 0.425 0.257
H2 H 0.063 0.361 0.916
H3 H 0.210 0.367 0.767
H4 H 0.414 0.144 0.132
O1 O 0.022 0.400 0.764
O2 O 0.161 0.132 0.597
O3 O 0.174 0.127 0.243
O4 O 0.293 0.372 0.748
O5 O 0.317 0.372 0.398
O6 O 0.487 0.443 0.244
O7 O 0.495 0.170 0.743
```

Most intense lines, 15° ≤ 2θ ≤ 90°, low angle first:
2θ (°)	d/Å	intensity
26.95	3.308	33
27.56	3.237	62
27.86	3.203	29
28.10	3.175	59
28.56	3.126	100
29.33	3.045	82
44.65	2.029	22
47.98	1.896	28
48.71	1.870	28
56.89	1.619	32